[1]
Structure and simulated powder diffraction line list of Ti3Nb2V3O16 (a DFT-relaxed cell (GGA+U, the Materials Project); CuKα).

Peak list (10 most intense, 10° ≤ 2θ ≤ 80°, by angle)
Position (°2θ), Rel. int.
18.84, 33
19.39, 100
19.53, 95
25.54, 42
33.20, 22
33.37, 40
35.36, 27
35.51, 48
35.65, 27
61.78, 18

Atomic structure:
```
24
Lattice="5.993 0.000 0.000 -2.942 5.237 0.000 -0.027 -0.050 9.419" Properties=species:S:1:pos:R:3 pbc="T T T"
Ti 0.000 0.000 0.000
Ti -1.531 2.634 9.417
Ti -0.007 1.773 4.678
Nb -1.491 4.355 6.779
Nb 1.482 2.655 2.072
V 2.918 0.004 0.095
V 2.909 1.769 4.753
V 1.506 4.340 4.801
O 3.033 5.205 5.823
O -1.581 4.328 1.071
O 0.006 1.773 1.133
O 1.368 0.581 8.308
O -0.280 3.533 8.314
O 0.148 3.324 3.620
O 1.440 1.090 3.624
O -0.034 5.191 5.850
O 1.491 2.493 5.776
O 2.911 1.787 1.126
O 1.494 4.326 1.137
O 2.753 3.320 3.606
O 4.396 0.943 3.925
O 4.446 0.858 8.629
O 3.137 3.575 8.334
O 4.455 2.664 5.842
```


[2]
Structure and simulated powder diffraction line list of NbTlV2O8 (a DFT-relaxed cell (GGA+U, the Materials Project); CuKα).

Peak list (10 most intense, 10° ≤ 2θ ≤ 80°, by angle)
Position (°2θ), Rel. int.
18.51, 37
19.42, 38
20.85, 35
23.34, 30
25.55, 100
28.05, 89
29.95, 53
31.41, 47
39.50, 27
45.78, 30

Atomic structure:
```
48
Lattice="15.244 0.000 0.000 0.000 5.696 0.000 0.000 0.000 8.876" Properties=species:S:1:pos:R:3 pbc="T T T"
Nb 1.826 1.424 1.656
Nb 5.796 4.272 6.094
Nb 9.448 1.424 2.782
Nb 13.418 4.272 7.221
Tl 1.838 4.272 5.016
Tl 5.784 1.424 0.577
Tl 9.460 4.272 8.299
Tl 13.406 1.424 3.861
V 0.429 1.424 7.063
V 3.284 4.272 8.784
V 4.338 1.424 4.346
V 7.193 4.272 2.625
V 8.051 1.424 6.252
V 10.906 4.272 4.531
V 11.960 1.424 0.092
V 14.815 4.272 1.814
O 0.573 5.695 2.267
O 0.573 2.849 2.267
O 0.882 1.424 8.754
O 1.767 1.424 6.101
O 2.046 4.272 7.705
O 2.820 1.424 3.374
O 3.106 0.040 0.902
O 3.106 2.807 0.902
O 4.516 2.888 5.340
O 4.516 5.655 5.340
O 4.802 4.272 7.813
O 5.576 1.424 3.266
O 5.855 4.272 1.663
O 6.740 4.272 4.315
O 7.049 0.001 6.705
O 7.049 2.847 6.705
O 8.195 5.695 2.172
O 8.195 2.849 2.172
O 8.504 1.424 4.561
O 9.389 1.424 7.214
O 9.668 4.272 5.610
O 10.442 1.424 1.064
O 10.728 0.040 3.536
O 10.728 2.807 3.536
O 12.138 2.888 7.975
O 12.138 5.655 7.975
O 12.424 4.272 5.502
O 13.198 1.424 1.172
O 13.477 4.272 2.775
O 14.362 4.272 0.123
O 14.671 0.001 6.610
O 14.671 2.847 6.610
```


[3]
Structure and simulated powder diffraction line list of NbTlV2O8 (a DFT-relaxed cell (GGA+U, the Materials Project); CuKα).

Peak list (10 most intense, 10° ≤ 2θ ≤ 80°, by angle)
Position (°2θ), Rel. int.
19.41, 38
23.24, 24
25.20, 20
25.34, 43
25.55, 38
27.50, 100
30.77, 16
31.39, 49
45.49, 17
52.28, 18

Atomic structure:
```
48
Lattice="15.313 0.000 0.000 0.000 5.704 0.000 0.000 0.000 9.197" Properties=species:S:1:pos:R:3 pbc="T T T"
Nb 2.445 1.426 0.050
Nb 5.211 4.278 4.648
Nb 10.101 1.426 4.549
Nb 12.868 4.278 9.148
Tl 1.467 1.426 5.188
Tl 6.189 4.278 0.589
Tl 9.123 1.426 8.608
Tl 13.846 4.278 4.009
V 0.939 4.278 7.526
V 2.476 4.278 2.340
V 5.180 1.426 6.939
V 6.718 1.426 2.927
V 8.595 4.278 6.270
V 10.132 4.278 2.259
V 12.837 1.426 6.857
V 14.374 1.426 1.672
O 0.561 1.426 0.769
O 0.641 4.278 5.880
O 0.852 4.278 2.644
O 1.891 0.024 7.924
O 1.891 2.828 7.924
O 2.900 0.011 1.393
O 2.900 2.841 1.393
O 3.375 4.278 3.888
O 4.281 1.426 8.487
O 4.756 2.862 5.992
O 4.756 5.693 5.992
O 5.766 2.876 3.325
O 5.766 5.680 3.325
O 6.804 1.426 7.243
O 7.016 1.426 1.282
O 7.096 4.278 5.367
O 8.217 1.426 3.830
O 8.297 4.278 7.916
O 8.509 4.278 1.954
O 9.547 0.024 5.872
O 9.547 2.828 5.872
O 10.556 0.011 3.205
O 10.556 2.841 3.205
O 11.032 4.278 0.710
O 11.938 1.426 5.309
O 12.413 2.862 7.804
O 12.413 5.693 7.804
O 13.422 2.876 1.273
O 13.422 5.680 1.273
O 14.460 1.426 6.553
O 14.672 1.426 3.317
O 14.752 4.278 8.429
```


[4]
Structure and simulated powder diffraction line list of NbVO4 (a DFT-relaxed cell (GGA+U, the Materials Project); CuKα).

Peak list (10 most intense, 10° ≤ 2θ ≤ 80°, by angle)
Position (°2θ), Rel. int.
19.93, 37
29.70, 100
32.01, 79
34.56, 13
36.40, 21
49.37, 20
51.07, 54
55.37, 16
59.97, 20
60.12, 13

Atomic structure:
```
12
Lattice="3.318 -5.190 0.000 3.318 5.190 0.000 -3.310 0.000 3.692" Properties=species:S:1:pos:R:3 pbc="T T T"
Nb 0.836 3.822 2.769
Nb 2.491 -3.822 0.923
V 2.491 0.972 0.923
V 0.836 -0.972 2.769
O 0.958 2.175 1.240
O -0.886 0.358 2.726
O 0.769 -0.358 0.880
O 4.024 2.175 0.606
O -0.697 -2.175 3.086
O 2.557 0.358 2.811
O 4.212 -0.358 0.966
O 2.369 -2.175 2.452
```


[5]
Structure and simulated powder diffraction line list of NbVO4 (a DFT-relaxed cell (GGA+U, the Materials Project); CuKα).

Peak list (10 most intense, 10° ≤ 2θ ≤ 80°, by angle)
Position (°2θ), Rel. int.
18.78, 39
26.20, 100
27.17, 90
34.11, 64
34.29, 62
38.96, 30
51.50, 31
51.63, 30
52.48, 28
52.85, 27

Atomic structure:
```
24
Lattice="7.085 -3.402 0.000 7.085 3.402 0.000 -2.998 0.000 5.841" Properties=species:S:1:pos:R:3 pbc="T T T"
Nb 0.000 0.000 0.000
Nb 2.796 0.000 1.455
Nb 5.587 0.000 2.919
Nb 8.381 0.000 4.378
V -0.296 0.000 3.549
V 2.490 0.000 5.006
V 8.288 0.000 0.628
V 11.073 0.000 2.083
O 2.498 2.052 5.006
O 3.995 1.350 2.090
O 1.650 0.000 3.078
O 0.462 0.000 5.449
O 8.288 2.052 0.628
O 6.790 1.349 3.546
O 4.453 0.000 4.540
O 6.255 0.000 1.054
O 3.995 -1.350 2.090
O 2.498 -2.052 5.006
O 10.243 0.000 0.153
O 9.044 0.000 2.518
O 6.790 -1.349 3.546
O 8.288 -2.052 0.628
O 13.031 0.000 1.608
O 11.853 0.000 3.973
```


[6]
Structure and simulated powder diffraction line list of NbVO4 (a DFT-relaxed cell (GGA+U, the Materials Project); CuKα).

Peak list (10 most intense, 10° ≤ 2θ ≤ 80°, by angle)
Position (°2θ), Rel. int.
18.75, 32
26.37, 80
26.91, 74
34.45, 100
38.03, 22
39.32, 24
51.94, 50
52.56, 47
66.33, 26
66.48, 16

Atomic structure:
```
12
Lattice="4.729 0.000 0.000 0.000 3.117 0.000 -0.190 0.000 9.473" Properties=species:S:1:pos:R:3 pbc="T T T"
Nb -0.045 0.000 2.371
Nb 4.583 0.000 7.102
V 2.364 1.559 0.000
V 2.269 1.559 4.736
O 0.884 1.559 1.453
O 0.799 1.559 6.181
O 1.343 0.000 3.788
O 1.249 0.000 8.527
O 3.289 0.000 0.945
O 3.196 0.000 5.685
O 3.740 1.559 3.292
O 3.654 1.559 8.020
```


[7]
Structure and simulated powder diffraction line list of NbV2O7 (a DFT-relaxed cell (GGA+U, the Materials Project); CuKα).

Peak list (10 most intense, 10° ≤ 2θ ≤ 80°, by angle)
Position (°2θ), Rel. int.
17.23, 37
19.92, 100
22.30, 67
24.46, 57
28.31, 38
33.33, 46
45.50, 26
50.13, 25
53.40, 33
58.57, 20

Atomic structure:
```
40
Lattice="8.915 0.000 0.000 0.000 8.915 0.000 0.000 0.000 8.915" Properties=species:S:1:pos:R:3 pbc="T T T"
Nb 0.000 0.000 0.000
Nb 0.000 4.458 4.458
Nb 4.458 0.000 4.458
Nb 4.458 4.458 0.000
V 1.031 5.488 7.885
V 1.031 7.885 3.427
V 3.427 1.031 7.885
V 3.427 3.427 3.427
V 5.488 5.488 5.488
V 5.488 7.885 1.031
V 7.885 1.031 5.488
V 7.885 3.427 1.031
O 0.000 0.000 4.458
O 0.000 4.458 0.000
O 0.548 6.225 3.659
O 0.548 7.148 8.116
O 0.799 5.006 6.225
O 0.799 8.367 1.767
O 1.767 0.799 8.367
O 1.767 3.659 3.909
O 2.690 5.257 8.367
O 2.690 8.116 3.909
O 3.659 0.548 6.225
O 3.659 3.909 1.767
O 3.909 1.767 3.659
O 3.909 2.690 8.116
O 4.458 0.000 0.000
O 4.458 4.458 4.458
O 5.006 6.225 0.799
O 5.006 7.148 5.257
O 5.257 5.006 7.148
O 5.257 8.367 2.690
O 6.225 0.799 5.006
O 6.225 3.659 0.548
O 7.148 5.257 5.006
O 7.148 8.116 0.548
O 8.116 0.548 7.148
O 8.116 3.909 2.690
O 8.367 1.767 0.799
O 8.367 2.690 5.257
```


[8]
Structure and simulated powder diffraction line list of NbVO4 (a DFT-relaxed cell (GGA+U, the Materials Project); CuKα).

Peak list (10 most intense, 10° ≤ 2θ ≤ 80°, by angle)
Position (°2θ), Rel. int.
24.26, 100
35.45, 15
36.30, 19
36.96, 17
45.96, 25
51.64, 17
52.64, 21
59.92, 15
65.73, 8
71.59, 12

Atomic structure:
```
12
Lattice="3.950 0.000 0.000 0.000 3.950 0.000 0.000 0.000 9.900" Properties=species:S:1:pos:R:3 pbc="T T T"
Nb 0.000 0.000 0.000
Nb 1.975 1.975 4.950
V 0.000 1.975 2.475
V 1.975 0.000 7.425
O 0.000 0.000 2.031
O 0.000 0.000 7.869
O 0.000 1.975 0.358
O 0.000 1.975 4.592
O 1.975 0.000 5.308
O 1.975 0.000 9.542
O 1.975 1.975 2.919
O 1.975 1.975 6.981
```


[9]
Structure and simulated powder diffraction line list of NbVO4 (a DFT-relaxed cell (GGA+U, the Materials Project); CuKα).

Peak list (10 most intense, 10° ≤ 2θ ≤ 80°, by angle)
Position (°2θ), Rel. int.
23.26, 13
27.46, 100
29.78, 41
35.11, 26
35.98, 13
47.38, 24
53.72, 35
54.35, 19
61.01, 10
64.12, 13

Atomic structure:
```
24
Lattice="4.583 0.000 0.000 0.000 4.992 0.000 -4.562 0.000 11.904" Properties=species:S:1:pos:R:3 pbc="T T T"
Nb 0.002 1.229 2.055
Nb -2.279 1.267 8.007
Nb 2.300 3.725 3.897
Nb 0.019 3.763 9.849
V 0.008 1.242 5.167
V -2.273 1.254 11.119
V 2.294 3.738 0.785
V 0.013 3.750 6.737
O -1.047 0.355 3.668
O -3.328 2.141 9.620
O -1.107 2.922 5.213
O -3.388 4.566 11.165
O -1.106 0.431 6.699
O 1.175 2.065 0.747
O -1.040 2.863 8.235
O 1.241 4.625 2.283
O -1.220 0.367 9.621
O 1.061 2.129 3.669
O -1.154 2.927 11.157
O 1.127 4.562 5.205
O 3.409 0.426 0.739
O 1.128 2.070 6.691
O 3.349 2.851 2.284
O 1.068 4.637 8.236
```


[10]
Structure and simulated powder diffraction line list of NbVO4 (a DFT-relaxed cell (GGA+U, the Materials Project); CuKα).

Peak list (10 most intense, 10° ≤ 2θ ≤ 80°, by angle)
Position (°2θ), Rel. int.
18.00, 15
24.03, 43
24.24, 100
24.39, 52
36.47, 36
36.96, 17
45.61, 24
46.06, 24
52.03, 18
52.72, 15

Atomic structure:
```
6
Lattice="3.941 0.000 0.000 0.010 3.978 0.000 1.937 1.932 4.927" Properties=species:S:1:pos:R:3 pbc="T T T"
Nb 0.000 0.000 0.000
V 2.035 3.823 2.481
O 2.008 3.841 4.577
O 1.987 1.854 2.922
O 2.023 3.850 0.365
O 3.994 3.903 2.023
```


Q: Which formula does entry 4 have?
A: NbVO4